[1]
The following is a computed powder X-ray diffraction pattern of Na2Pa4Ir3. It was derived from a PBE-relaxed structure, using CuKα.
Peak positions follow from Bragg's law for the DFT cell and can differ from measured ones.

Largest 10 diffraction maxima, by angle, 10° ≤ 2θ ≤ 80°:
2θ (°)	I/Imax	hkl
12.24	27	0 0 1
21.29	21	1 0 -2
32.78	12	3 0 -1
37.11	100	1 1 1
37.32	90	3 0 0
39.22	14	2 1 0
53.65	31	2 1 -4
67.17	28	1 1 4
67.31	13	3 0 3
75.05	24	3 2 0

Cell and atoms:
Cell: 8.3424 2.9748 8.3473 Å, 90.00 119.95 90.00°
Space group Pm (No. 6)
Asymmetric unit:
Na 0.0000 0.0000 0.0000 (multiplicity 1)
Na 0.3332 0.5000 0.6667 (multiplicity 1)
Pa 0.0227 0.0000 0.6795 (multiplicity 1)
Pa 0.3209 0.0000 0.3435 (multiplicity 1)
Pa 0.6567 0.0000 0.9778 (multiplicity 1)
Pa 0.6665 0.0000 0.3333 (multiplicity 1)
Ir 0.3531 0.5000 0.0308 (multiplicity 1)
Ir 0.6776 0.5000 0.6470 (multiplicity 1)
Ir 0.9694 0.5000 0.3226 (multiplicity 1)

---

[2]
The following is a computed powder X-ray diffraction pattern of SrU2F12. It was derived from a PBE-relaxed structure, using CuKα.
Peak positions follow from Bragg's law for the DFT cell and can differ from measured ones.

Largest 10 diffraction maxima, by angle, 10° ≤ 2θ ≤ 80°:
2θ (°)	I/Imax	hkl
16.08	39	0 0 2
21.20	35	1 1 2
23.25	100	2 1 1
25.35	21	2 0 2
31.00	15	3 1 0
32.80	30	2 1 3
42.91	17	4 0 2
45.27	21	3 3 2
45.52	26	3 1 4
54.82	16	5 2 1

Cell and atoms:
Cell: 9.1234 9.1234 11.0223 Å, 90.00 90.00 90.00°
Space group I4/mcm (No. 140)
Asymmetric unit:
Sr 0.0000 0.0000 0.2500 (multiplicity 4)
U 0.1498 0.3502 0.0000 (multiplicity 8)
F 0.0000 0.5000 0.1110 (multiplicity 8)
F 0.0557 0.2130 0.1299 (multiplicity 32)
F 0.1888 0.3112 0.5000 (multiplicity 8)

---

[3]
The following is a computed powder X-ray diffraction pattern of PrNdCu2Pb. It was derived from a PBE-relaxed structure, using CuKα.
Peak positions follow from Bragg's law for the DFT cell and can differ from measured ones.

Largest 10 diffraction maxima, by angle, 10° ≤ 2θ ≤ 80°:
2θ (°)	I/Imax	hkl
27.59	40	0 1 3
31.99	100	1 1 1
34.38	64	1 0 4
37.33	50	0 1 5
41.40	26	0 2 0
48.29	17	2 0 0
54.88	47	1 2 4
62.57	24	2 1 5
65.45	13	2 2 0
69.64	16	1 0 10

Cell and atoms:
Cell: 3.7694 4.3615 14.4506 Å, 90.00 90.00 90.00°
Space group Amm2 (No. 38)
Asymmetric unit:
Pr 0.0000 0.0000 0.0000 (multiplicity 2)
Nd 0.0000 0.0000 0.7370 (multiplicity 2)
Cu 0.5000 0.0000 0.1643 (multiplicity 2)
Cu 0.5000 0.0000 0.5744 (multiplicity 2)
Pb 0.5000 0.0000 0.3679 (multiplicity 2)